Diffraction record for Ba4NaBi3O12. The powder diffraction line list is simulated, not measured: it uses a cell relaxed with GGA-PBE and Cu Kα (λ = 1.5418 Å).
No peak broadening, texture or thermal motion is included.

Main lines, low angle first (15 to 90 degrees two-theta):
25.07°, 3.551 Å, intensity 82; 29.03°, 3.076 Å, intensity 1000; 32.55°, 2.751 Å, intensity 38; 38.73°, 2.325 Å, intensity 48; 41.52°, 2.175 Å, intensity 291; 51.46°, 1.776 Å, intensity 421; 60.17°, 1.538 Å, intensity 187; 68.18°, 1.375 Å, intensity 188; 75.75°, 1.256 Å, intensity 63; 83.08°, 1.162 Å, intensity 227

Structural model:
a = 7.5338 Å, b = 7.5338 Å, c = 7.5338 Å
α = 109.47°, β = 109.47°, γ = 109.47°
Fractional positions:
1 Ba 0.0000 0.0000 0.5000
2 Ba 0.0000 0.5000 0.0000
3 Ba 0.5000 0.0000 0.0000
4 Ba 0.5000 0.5000 0.5000
5 Na 0.0000 0.0000 0.0000
6 Bi 0.0000 0.5000 0.5000
7 Bi 0.5000 0.0000 0.5000
8 Bi 0.5000 0.5000 0.0000
9 O 0.0000 0.2651 0.2651
10 O 0.0000 0.7349 0.7349
11 O 0.2500 0.5000 0.7500
12 O 0.2500 0.7500 0.5000
13 O 0.2651 0.0000 0.2651
14 O 0.2651 0.2651 0.0000
15 O 0.5000 0.2500 0.7500
16 O 0.5000 0.7500 0.2500
17 O 0.7349 0.0000 0.7349
18 O 0.7349 0.7349 0.0000
19 O 0.7500 0.2500 0.5000
20 O 0.7500 0.5000 0.2500

Diffraction record for MnCdSe4. The powder diffraction line list is simulated, not measured: it uses a cell relaxed with GGA-PBE and Cu Kα (λ = 1.5418 Å).
No peak broadening, texture or thermal motion is included.

Main lines, low angle first (15 to 90 degrees two-theta):
27.07°, 3.294 Å, intensity 1000; 27.17°, 3.282 Å, intensity 496; 30.30°, 2.950 Å, intensity 906; 30.38°, 2.942 Å, intensity 433; 33.46°, 2.678 Å, intensity 660; 38.71°, 2.326 Å, intensity 435; 45.65°, 1.987 Å, intensity 397; 45.81°, 1.981 Å, intensity 468; 45.99°, 1.974 Å, intensity 287; 74.98°, 1.267 Å, intensity 307

Structural model:
a = 6.5928 Å, b = 6.5820 Å, c = 6.5652 Å
α = 90.00°, β = 90.75°, γ = 90.00°
Fractional positions:
1 Mn 0.0000 0.0000 0.0000
2 Mn 0.0000 0.5000 0.5000
3 Cd 0.5000 0.0000 0.5000
4 Cd 0.5000 0.5000 0.0000
5 Se 0.0918 0.1138 0.3886
6 Se 0.0918 0.3862 0.8886
7 Se 0.3810 0.5969 0.4003
8 Se 0.3810 0.9031 0.9003
9 Se 0.6190 0.0969 0.0997
10 Se 0.6190 0.4031 0.5997
11 Se 0.9082 0.6138 0.1114
12 Se 0.9082 0.8862 0.6114

Diffraction record for ThNp3. The powder diffraction line list is simulated, not measured: it uses a cell relaxed with GGA-PBE and Cu Kα (λ = 1.5418 Å).
No peak broadening, texture or thermal motion is included.

Main lines, low angle first (15 to 90 degrees two-theta):
34.11°, 2.629 Å, intensity 1000; 39.19°, 2.299 Å, intensity 346; 40.38°, 2.234 Å, intensity 159; 56.62°, 1.626 Å, intensity 122; 57.53°, 1.602 Å, intensity 232; 67.78°, 1.383 Å, intensity 287; 69.42°, 1.354 Å, intensity 134; 71.82°, 1.314 Å, intensity 122; 84.24°, 1.149 Å, intensity 41; 87.30°, 1.117 Å, intensity 19

Structural model:
a = 5.5252 Å, b = 5.5252 Å, c = 5.5252 Å
α = 130.83°, β = 130.83°, γ = 72.09°
Fractional positions:
1 Th 0.0000 0.0000 0.0000
2 Np 0.2500 0.7500 0.5000
3 Np 0.5000 0.5000 0.0000
4 Np 0.7500 0.2500 0.5000

Diffraction record for ThCu2Sn2. The powder diffraction line list is simulated, not measured: it uses a cell relaxed with GGA-PBE and Cu Kα (λ = 1.5418 Å).
No peak broadening, texture or thermal motion is included.

Main lines, low angle first (15 to 90 degrees two-theta):
28.20°, 3.164 Å, intensity 205; 32.39°, 2.764 Å, intensity 663; 33.01°, 2.713 Å, intensity 1000; 40.31°, 2.238 Å, intensity 590; 47.67°, 1.908 Å, intensity 268; 52.63°, 1.739 Å, intensity 345; 58.32°, 1.582 Å, intensity 201; 60.24°, 1.536 Å, intensity 128; 64.15°, 1.452 Å, intensity 222; 68.67°, 1.367 Å, intensity 246

Structural model:
a = 4.4752 Å, b = 4.4752 Å, c = 10.5435 Å
α = 90.00°, β = 90.00°, γ = 90.00°
Fractional positions:
1 Th 0.2500 0.2500 0.2390
2 Th 0.7500 0.7500 0.7610
3 Cu 0.2500 0.2500 0.6351
4 Cu 0.2500 0.7500 0.0000
5 Cu 0.7500 0.2500 0.0000
6 Cu 0.7500 0.7500 0.3649
7 Sn 0.2500 0.2500 0.8719
8 Sn 0.2500 0.7500 0.5000
9 Sn 0.7500 0.2500 0.5000
10 Sn 0.7500 0.7500 0.1281

Diffraction record for Mg14MnAl. The powder diffraction line list is simulated, not measured: it uses a cell relaxed with GGA-PBE and Cu Kα (λ = 1.5418 Å).
No peak broadening, texture or thermal motion is included.

Main lines, low angle first (15 to 90 degrees two-theta):
16.37°, 5.414 Å, intensity 37; 18.53°, 4.789 Å, intensity 35; 33.09°, 2.707 Å, intensity 242; 34.97°, 2.566 Å, intensity 272; 37.57°, 2.394 Å, intensity 1000; 48.91°, 1.862 Å, intensity 153; 59.11°, 1.563 Å, intensity 166; 64.43°, 1.446 Å, intensity 189; 70.56°, 1.335 Å, intensity 188; 72.18°, 1.309 Å, intensity 131

Structural model:
a = 6.2515 Å, b = 6.2515 Å, c = 10.2643 Å
α = 90.00°, β = 90.00°, γ = 120.00°
Fractional positions:
1 Mg 0.0000 0.0000 0.2496
2 Mg 0.0000 0.0000 0.7504
3 Mg 0.0062 0.5031 0.2488
4 Mg 0.0062 0.5031 0.7512
5 Mg 0.3324 0.1662 0.5000
6 Mg 0.3338 0.1669 0.0000
7 Mg 0.4969 0.5031 0.2488
8 Mg 0.4969 0.5031 0.7512
9 Mg 0.4969 0.9938 0.2488
10 Mg 0.4969 0.9938 0.7512
11 Mg 0.8331 0.1669 0.0000
12 Mg 0.8331 0.6662 0.0000
13 Mg 0.8338 0.1662 0.5000
14 Mg 0.8338 0.6676 0.5000
15 Mn 0.3333 0.6667 0.0000
16 Al 0.3333 0.6667 0.5000

Diffraction record for MgTe2Mo2W2Se4S2. The powder diffraction line list is simulated, not measured: it uses a cell relaxed with GGA-PBE and Cu Kα (λ = 1.5418 Å).
No peak broadening, texture or thermal motion is included.

Main lines, low angle first (15 to 90 degrees two-theta):
30.91°, 2.893 Å, intensity 509; 31.16°, 2.871 Å, intensity 201; 32.50°, 2.755 Å, intensity 353; 34.87°, 2.573 Å, intensity 825; 36.93°, 2.434 Å, intensity 399; 40.64°, 2.220 Å, intensity 1000; 42.02°, 2.150 Å, intensity 208; 43.46°, 2.082 Å, intensity 287; 54.96°, 1.671 Å, intensity 433; 55.97°, 1.643 Å, intensity 218

Structural model:
a = 3.3420 Å, b = 3.3420 Å, c = 44.9762 Å
α = 90.00°, β = 90.00°, γ = 120.00°
Fractional positions:
1 Mg 0.0000 0.0000 0.0000
2 Te 0.6667 0.3333 0.6649
3 Te 0.6667 0.3333 0.7492
4 Mo 0.3333 0.6667 0.0892
5 Mo 0.3333 0.6667 0.7070
6 W 0.6667 0.3333 0.2714
7 W 0.6667 0.3333 0.8887
8 Se 0.3333 0.6667 0.2341
9 Se 0.3333 0.6667 0.3086
10 Se 0.3333 0.6667 0.8515
11 Se 0.3333 0.6667 0.9261
12 S 0.6667 0.3333 0.0546
13 S 0.6667 0.3333 0.1226